Entry 1:
La4TlB3Rh12: computed powder diffractogram (a wavelength of 1.5418 Å), based on DFT lattice parameters and positions (GGA-PBE).

Cell lengths 7.713, 7.713, 7.713 Å; angles 109.47, 109.47, 109.47 degrees
Atoms (fractional coordinates):
La1 0.000 0.000 0.500
La2 0.000 0.500 0.000
La3 0.500 0.000 0.000
La4 0.500 0.500 0.500
Tl1 0.000 0.000 0.000
B1 0.000 0.500 0.500
B2 0.500 0.000 0.500
B3 0.500 0.500 0.000
Rh1 0.000 0.285 0.285
Rh2 0.000 0.715 0.715
Rh3 0.250 0.500 0.750
Rh4 0.250 0.750 0.500
Rh5 0.285 0.000 0.285
Rh6 0.285 0.285 0.000
Rh7 0.500 0.250 0.750
Rh8 0.500 0.750 0.250
Rh9 0.715 0.000 0.715
Rh10 0.715 0.715 0.000
Rh11 0.750 0.250 0.500
Rh12 0.750 0.500 0.250

The 8 most intense peaks (2θ from 10° to 90°), by angle:
2θ/deg	I/Imax
28.34	16
31.77	12
34.90	100
37.80	18
40.52	81
58.64	50
70.09	31
73.70	15

Entry 2:
Er2MnAlS6: computed powder diffractogram (a wavelength of 1.5418 Å), based on DFT lattice parameters and positions (GGA-PBE).

Cell lengths 6.417, 6.499, 6.713 Å; angles 61.75, 89.74, 62.13 degrees
Atoms (fractional coordinates):
Er1 0.000 0.000 0.000
Er2 0.495 0.006 0.502
Mn1 0.286 0.428 0.889
Al1 0.791 0.420 0.387
S1 0.066 0.276 0.165
S2 0.168 0.281 0.672
S3 0.424 0.509 0.167
S4 0.571 0.499 0.682
S5 0.674 0.881 0.182
S6 0.924 0.936 0.643

The 8 most intense peaks (2θ from 10° to 90°), by angle:
2θ/deg	I/Imax
18.25	51
19.16	100
25.61	50
26.40	46
26.61	46
26.79	37
38.88	44
42.88	38

Entry 3:
Li2TbSm2Pb2: computed powder diffractogram (a wavelength of 1.5418 Å), based on DFT lattice parameters and positions (GGA-PBE).

Cell lengths 9.563, 9.563, 9.563 Å; angles 29.38, 29.38, 29.38 degrees
Atoms (fractional coordinates):
Li1 0.101 0.101 0.101
Li2 0.899 0.899 0.899
Tb1 0.500 0.500 0.500
Sm1 0.372 0.372 0.372
Sm2 0.628 0.628 0.628
Pb1 0.234 0.234 0.234
Pb2 0.766 0.766 0.766

The 8 most intense peaks (2θ from 10° to 90°), by angle:
2θ/deg	I/Imax
21.40	52
22.13	30
31.22	91
33.74	91
37.07	100
50.99	29
63.74	39
64.70	28

Repeat the third record exactly.
Li2TbSm2Pb2: computed powder diffractogram (a wavelength of 1.5418 Å), based on DFT lattice parameters and positions (GGA-PBE).

Cell lengths 9.563, 9.563, 9.563 Å; angles 29.38, 29.38, 29.38 degrees
Atoms (fractional coordinates):
Li1 0.101 0.101 0.101
Li2 0.899 0.899 0.899
Tb1 0.500 0.500 0.500
Sm1 0.372 0.372 0.372
Sm2 0.628 0.628 0.628
Pb1 0.234 0.234 0.234
Pb2 0.766 0.766 0.766

The 8 most intense peaks (2θ from 10° to 90°), by angle:
2θ/deg	I/Imax
21.40	52
22.13	30
31.22	91
33.74	91
37.07	100
50.99	29
63.74	39
64.70	28